Entry 1:
Starting from a crystal structure in Alexandria, relaxed with PBE, the powder XRD pattern of Ti3Ga4Au was calculated for copper Kα.
Neutral-atom scattering factors, no anomalous dispersion.

Cell and atoms:
```
data_Ti3Ga4Au
_chemical_formula_sum 'Ti6 Ga8 Au2'
_space_group_name_H-M_alt 'I m m m'
_space_group_IT_number 71
_space_group_name_Hall '-I 2 2'
_cell_length_a 2.8084
_cell_length_b 8.6236
_cell_length_c 11.2218
_cell_angle_alpha 90.00
_cell_angle_beta 90.00
_cell_angle_gamma 90.00
loop_
_atom_site_label
_atom_site_type_symbol
_atom_site_fract_x
_atom_site_fract_y
_atom_site_fract_z
Ti1 Ti 0.0000 0.0000 0.0000
Ti2 Ti 0.0000 0.5000 0.2314
Ga1 Ga 0.0000 0.2585 0.3774
Au1 Au 0.0000 0.0000 0.5000
```

Largest 8 diffraction maxima, in order of rising 2θ, 2θ from 10° to 90°:
- 2θ = 12.9°, rel. 72.5
- 2θ = 15.8°, rel. 27.8
- 2θ = 32.9°, rel. 48.1
- 2θ = 37.3°, rel. 63.2
- 2θ = 38.3°, rel. 100.0
- 2θ = 41.9°, rel. 39.2
- 2θ = 45.5°, rel. 46.0
- 2θ = 48.1°, rel. 30.3

***

Entry 2:
Starting from a crystal structure in Alexandria, relaxed with PBE, the powder XRD pattern of Ti3Ga2Au3 was calculated for copper Kα.
Neutral-atom scattering factors, no anomalous dispersion.

Cell and atoms:
```
data_Ti3Ga2Au3
_chemical_formula_sum 'Ti6 Ga4 Au6'
_space_group_name_H-M_alt 'C 1 2/m 1'
_space_group_IT_number 12
_space_group_name_Hall '-C 2y'
_cell_length_a 16.1226
_cell_length_b 4.0859
_cell_length_c 4.1898
_cell_angle_alpha 90.00
_cell_angle_beta 101.21
_cell_angle_gamma 90.00
loop_
_atom_site_label
_atom_site_type_symbol
_atom_site_fract_x
_atom_site_fract_y
_atom_site_fract_z
Ti1 Ti 0.0000 0.0000 0.0000
Ti2 Ti 0.1206 0.0000 0.6368
Ga1 Ga 0.2470 0.0000 0.2647
Au1 Au 0.0000 0.5000 0.5000
Au2 Au 0.1351 0.5000 0.1196
```

Largest 8 diffraction maxima, in order of rising 2θ, 2θ from 10° to 90°:
- 2θ = 22.5°, rel. 53.9
- 2θ = 26.3°, rel. 22.5
- 2θ = 28.1°, rel. 29.7
- 2θ = 37.4°, rel. 100.0
- 2θ = 39.2°, rel. 83.2
- 2θ = 43.3°, rel. 32.5
- 2θ = 44.3°, rel. 32.1
- 2θ = 45.9°, rel. 43.0

***

Entry 3:
Starting from a crystal structure in Alexandria, relaxed with PBE, the powder XRD pattern of TiGaAu was calculated for copper Kα.
Neutral-atom scattering factors, no anomalous dispersion.

Cell and atoms:
```
data_TiGaAu
_chemical_formula_sum 'Ti2 Ga2 Au2'
_space_group_name_H-M_alt 'P 1 21/m 1'
_space_group_IT_number 11
_space_group_name_Hall '-P 2yb'
_cell_length_a 3.9453
_cell_length_b 4.0542
_cell_length_c 6.4982
_cell_angle_alpha 90.00
_cell_angle_beta 106.60
_cell_angle_gamma 90.00
loop_
_atom_site_label
_atom_site_type_symbol
_atom_site_fract_x
_atom_site_fract_y
_atom_site_fract_z
Ti1 Ti 0.2471 0.2500 0.4943
Ga1 Ga 0.4019 0.7500 0.8243
Au1 Au 0.1015 0.7500 0.1728
```

Largest 8 diffraction maxima, in order of rising 2θ, 2θ from 10° to 90°:
- 2θ = 14.2°, rel. 29.7
- 2θ = 23.8°, rel. 21.6
- 2θ = 26.2°, rel. 30.5
- 2θ = 38.3°, rel. 100.0
- 2θ = 38.8°, rel. 98.3
- 2θ = 43.6°, rel. 34.6
- 2θ = 44.7°, rel. 32.8
- 2θ = 46.0°, rel. 29.3

***

Entry 4:
Starting from a crystal structure in Alexandria, relaxed with PBE, the powder XRD pattern of TiGa2Au2 was calculated for copper Kα.
Neutral-atom scattering factors, no anomalous dispersion.

Cell and atoms:
```
data_TiGa2Au2
_chemical_formula_sum 'Ti2 Ga4 Au4'
_space_group_name_H-M_alt 'P 4/m b m'
_space_group_IT_number 127
_space_group_name_Hall '-P 4 2ab'
_cell_length_a 7.4152
_cell_length_b 7.4152
_cell_length_c 3.2519
_cell_angle_alpha 90.00
_cell_angle_beta 90.00
_cell_angle_gamma 90.00
loop_
_atom_site_label
_atom_site_type_symbol
_atom_site_fract_x
_atom_site_fract_y
_atom_site_fract_z
Ti1 Ti 0.0000 0.0000 0.0000
Ga1 Ga 0.1713 0.3287 0.5000
Au1 Au 0.1339 0.6339 0.0000
```

Largest 8 diffraction maxima, in order of rising 2θ, 2θ from 10° to 90°:
- 2θ = 16.9°, rel. 29.6
- 2θ = 26.9°, rel. 27.1
- 2θ = 27.4°, rel. 16.7
- 2θ = 38.4°, rel. 35.1
- 2θ = 38.8°, rel. 100.0
- 2θ = 47.8°, rel. 12.7
- 2θ = 49.1°, rel. 12.7
- 2θ = 74.9°, rel. 17.8

***

Entry 5:
Starting from a crystal structure in Alexandria, relaxed with PBE, the powder XRD pattern of TlGaAu4 was calculated for copper Kα.
Neutral-atom scattering factors, no anomalous dispersion.

Cell and atoms:
```
data_TlGaAu4
_chemical_formula_sum 'Tl4 Ga4 Au16'
_space_group_name_H-M_alt 'C m c m'
_space_group_IT_number 63
_space_group_name_Hall '-C 2c 2'
_cell_length_a 4.6941
_cell_length_b 20.9990
_cell_length_c 5.5594
_cell_angle_alpha 90.00
_cell_angle_beta 90.00
_cell_angle_gamma 90.00
loop_
_atom_site_label
_atom_site_type_symbol
_atom_site_fract_x
_atom_site_fract_y
_atom_site_fract_z
Tl1 Tl 0.0000 0.0899 0.2500
Ga1 Ga 0.0000 0.3958 0.2500
Au1 Au 0.0000 0.1629 0.7500
Au2 Au 0.0000 0.2890 0.5042
Au3 Au 0.0000 0.5000 0.0000
```

Largest 8 diffraction maxima, in order of rising 2θ, 2θ from 10° to 90°:
- 2θ = 28.0°, rel. 38.4
- 2θ = 28.5°, rel. 100.0
- 2θ = 36.6°, rel. 74.4
- 2θ = 37.9°, rel. 80.5
- 2θ = 38.4°, rel. 70.9
- 2θ = 43.3°, rel. 44.6
- 2θ = 43.5°, rel. 49.7
- 2θ = 54.0°, rel. 49.0

***

Entry 6:
Starting from a crystal structure in Alexandria, relaxed with PBE, the powder XRD pattern of TlGa2Au2 was calculated for copper Kα.
Neutral-atom scattering factors, no anomalous dispersion.

Cell and atoms:
```
data_TlGa2Au2
_chemical_formula_sum 'Tl2 Ga4 Au4'
_space_group_name_H-M_alt 'P 1 21/m 1'
_space_group_IT_number 11
_space_group_name_Hall '-P 2yb'
_cell_length_a 4.4636
_cell_length_b 4.4926
_cell_length_c 11.0698
_cell_angle_alpha 90.00
_cell_angle_beta 93.32
_cell_angle_gamma 90.00
loop_
_atom_site_label
_atom_site_type_symbol
_atom_site_fract_x
_atom_site_fract_y
_atom_site_fract_z
Tl1 Tl 0.2354 0.2500 0.2506
Ga1 Ga 0.2505 0.7500 0.4999
Ga2 Ga 0.2897 0.2500 0.8725
Au1 Au 0.2083 0.7500 0.9911
Au2 Au 0.2655 0.2500 0.6363
```

Largest 8 diffraction maxima, in order of rising 2θ, 2θ from 10° to 90°:
- 2θ = 31.4°, rel. 44.4
- 2θ = 32.0°, rel. 100.0
- 2θ = 32.4°, rel. 44.7
- 2θ = 33.2°, rel. 87.5
- 2θ = 40.1°, rel. 60.8
- 2θ = 40.5°, rel. 52.8
- 2θ = 45.8°, rel. 38.0
- 2θ = 58.3°, rel. 36.4

***

Entry 7:
Starting from a crystal structure in Alexandria, relaxed with PBE, the powder XRD pattern of TlGa2Au3 was calculated for copper Kα.
Neutral-atom scattering factors, no anomalous dispersion.

Cell and atoms:
```
data_TlGa2Au3
_chemical_formula_sum 'Tl2 Ga4 Au6'
_space_group_name_H-M_alt 'P m m n'
_space_group_IT_number 59
_cell_length_a 4.1631
_cell_length_b 12.3588
_cell_length_c 5.2041
_cell_angle_alpha 90.00
_cell_angle_beta 90.00
_cell_angle_gamma 90.00
loop_
_space_group_symop_operation_xyz
'x,y,z'
'-x,-y,-z'
'-x+1/2,-y+1/2,z'
'x+1/2,y+1/2,-z'
'x+1/2,-y,-z'
'-x+1/2,y,z'
'-x,y+1/2,-z'
'x,-y+1/2,z'
loop_
_atom_site_label
_atom_site_type_symbol
_atom_site_fract_x
_atom_site_fract_y
_atom_site_fract_z
Tl1 Tl 0.2500 0.2500 0.1935
Ga1 Ga 0.2500 0.5547 0.1507
Au1 Au 0.2500 0.5567 0.6592
Au2 Au 0.2500 0.7500 0.3165
```

Largest 8 diffraction maxima, in order of rising 2θ, 2θ from 10° to 90°:
- 2θ = 28.9°, rel. 25.3
- 2θ = 30.5°, rel. 42.5
- 2θ = 31.1°, rel. 100.0
- 2θ = 40.3°, rel. 21.2
- 2θ = 41.0°, rel. 43.5
- 2θ = 42.5°, rel. 21.9
- 2θ = 43.5°, rel. 55.1
- 2θ = 61.3°, rel. 26.8

***

Entry 8:
Starting from a crystal structure in Alexandria, relaxed with PBE, the powder XRD pattern of Tl2Ga7Au12 was calculated for copper Kα.
Neutral-atom scattering factors, no anomalous dispersion.

Cell and atoms:
```
data_Tl2Ga7Au12
_chemical_formula_sum 'Tl2 Ga7 Au12'
_space_group_name_H-M_alt 'P -6'
_space_group_IT_number 174
_space_group_name_Hall 'P -6'
_cell_length_a 10.4263
_cell_length_b 10.4263
_cell_length_c 4.4325
_cell_angle_alpha 90.00
_cell_angle_beta 90.00
_cell_angle_gamma 120.00
loop_
_atom_site_label
_atom_site_type_symbol
_atom_site_fract_x
_atom_site_fract_y
_atom_site_fract_z
Tl1 Tl 0.0000 0.0000 0.0000
Tl2 Tl 0.3333 0.6667 0.5000
Ga1 Ga 0.0465 0.4792 0.0000
Ga2 Ga 0.2958 0.2698 0.5000
Ga3 Ga 0.6667 0.3333 0.0000
Au1 Au 0.0298 0.2470 0.5000
Au2 Au 0.1460 0.7633 0.0000
Au3 Au 0.3688 0.1753 0.0000
Au4 Au 0.5462 0.1313 0.5000
```

Largest 8 diffraction maxima, in order of rising 2θ, 2θ from 10° to 90°:
- 2θ = 26.1°, rel. 11.1
- 2θ = 33.1°, rel. 100.0
- 2θ = 34.4°, rel. 15.4
- 2θ = 35.9°, rel. 12.2
- 2θ = 40.1°, rel. 32.4
- 2θ = 40.7°, rel. 28.9
- 2θ = 41.4°, rel. 21.9
- 2θ = 69.3°, rel. 12.2

***

Q: What is the formula in the first record?
A: Ti3Ga4Au